No. 1
# HoSnIrPd
Theoretical powder X-ray diffraction pattern, a wavelength of 1.5418 Å. Input: DFT lattice parameters and positions (PBE).
Peak positions follow from Bragg's law for the DFT cell and can differ from measured ones.

Largest 7 diffraction maxima, in order of rising 2θ, 2θ = 10–80°:
two_theta	I (rel.)
22.95	6
37.91	100
44.78	3
54.70	17
60.08	1
68.48	36
73.28	1

Structure:
Lattice parameters (Å, degrees): 4.746 4.746 4.746 60.00 60.00 60.00
Fractional coordinates of all 4 atoms:
Ho (0.000, 0.000, 0.000)
Sn (0.500, 0.500, 0.500)
Ir (0.750, 0.750, 0.750)
Pd (0.250, 0.250, 0.250)

***

No. 2
# La3NdPb3
Theoretical powder X-ray diffraction pattern, a wavelength of 1.5418 Å. Input: DFT lattice parameters and positions (PBE).
Peak positions follow from Bragg's law for the DFT cell and can differ from measured ones.

Largest 12 diffraction maxima, in order of rising 2θ, 2θ = 10–80°:
two_theta	I (rel.)
22.33	18
24.00	19
24.30	50
26.37	19
30.63	100
30.95	33
31.51	75
32.42	21
38.44	22
39.03	31
44.86	19
55.92	19

Structure:
Lattice parameters (Å, degrees): 8.222 8.222 8.465 91.05 91.05 114.74
Fractional coordinates of all 14 atoms:
La (0.163, 0.837, 0.000)
La (0.223, 0.777, 0.500)
La (0.376, 0.376, 0.127)
La (0.624, 0.624, 0.873)
La (0.777, 0.223, 0.500)
La (0.837, 0.163, 0.000)
Nd (0.272, 0.272, 0.578)
Nd (0.728, 0.728, 0.422)
Pb (0.052, 0.052, 0.278)
Pb (0.155, 0.500, 0.799)
Pb (0.500, 0.155, 0.799)
Pb (0.500, 0.845, 0.201)
Pb (0.845, 0.500, 0.201)
Pb (0.948, 0.948, 0.722)

***

No. 3
# Nd5Sm12Dy
Theoretical powder X-ray diffraction pattern, a wavelength of 1.5418 Å. Input: DFT lattice parameters and positions (PBE).
Peak positions follow from Bragg's law for the DFT cell and can differ from measured ones.

Largest 12 diffraction maxima, in order of rising 2θ, 2θ = 10–80°:
two_theta	I (rel.)
30.07	100
30.08	100
34.83	68
34.94	34
50.11	48
50.18	24
59.51	29
59.54	29
59.68	29
62.51	25
73.53	8
73.80	4

Structure:
Lattice parameters (Å, degrees): 10.915 10.915 6.295 106.61 106.61 60.07
Fractional coordinates of all 18 atoms:
Nd (0.000, 0.000, 0.000)
Nd (0.167, 0.167, 0.501)
Nd (0.334, 0.334, 0.002)
Nd (0.666, 0.666, 0.998)
Nd (0.833, 0.833, 0.499)
Sm (0.000, 0.334, 0.001)
Sm (0.000, 0.666, 0.999)
Sm (0.168, 0.501, 0.501)
Sm (0.168, 0.832, 0.500)
Sm (0.334, 0.000, 0.001)
Sm (0.334, 0.666, 0.000)
Sm (0.499, 0.832, 0.499)
Sm (0.501, 0.168, 0.501)
Sm (0.666, 0.000, 0.999)
Sm (0.666, 0.334, 0.000)
Sm (0.832, 0.168, 0.500)
Sm (0.832, 0.499, 0.499)
Dy (0.500, 0.500, 0.500)

***

No. 4
# Sr2Al9Co
Theoretical powder X-ray diffraction pattern, a wavelength of 1.5418 Å. Input: DFT lattice parameters and positions (PBE).
Peak positions follow from Bragg's law for the DFT cell and can differ from measured ones.

Largest 12 diffraction maxima, in order of rising 2θ, 2θ = 10–80°:
two_theta	I (rel.)
18.18	91
20.08	35
33.78	31
34.54	98
36.84	100
40.04	68
40.85	33
42.71	30
43.28	33
56.91	29
66.18	32
72.84	26

Structure:
Lattice parameters (Å, degrees): 13.585 13.585 3.068 90.00 90.00 155.13
Fractional coordinates of all 12 atoms:
Sr (0.146, 0.854, 0.000)
Sr (0.854, 0.146, 0.000)
Al (0.000, 0.000, 0.000)
Al (0.000, 0.500, 0.000)
Al (0.219, 0.337, 0.500)
Al (0.337, 0.219, 0.500)
Al (0.338, 0.662, 0.500)
Al (0.500, 0.000, 0.000)
Al (0.662, 0.338, 0.500)
Al (0.663, 0.781, 0.500)
Al (0.781, 0.663, 0.500)
Co (0.500, 0.500, 0.000)

***

No. 5
# Li2ZnCr2
Theoretical powder X-ray diffraction pattern, a wavelength of 1.5418 Å. Input: DFT lattice parameters and positions (PBE).
Peak positions follow from Bragg's law for the DFT cell and can differ from measured ones.

Largest 12 diffraction maxima, in order of rising 2θ, 2θ = 10–80°:
two_theta	I (rel.)
11.41	23
22.93	100
29.02	29
33.39	28
40.89	19
42.36	85
46.84	15
54.48	33
58.84	16
64.00	19
74.63	15
78.38	12

Structure:
Lattice parameters (Å, degrees): 8.070 8.070 8.070 157.57 157.57 31.93
Fractional coordinates of all 5 atoms:
Li (0.099, 0.099, 0.000)
Li (0.901, 0.901, 0.000)
Zn (0.500, 0.500, 0.000)
Cr (0.250, 0.750, 0.500)
Cr (0.750, 0.250, 0.500)

***

No. 6
# Ce4Dy3P8
Theoretical powder X-ray diffraction pattern, a wavelength of 1.5418 Å. Input: DFT lattice parameters and positions (PBE).
Peak positions follow from Bragg's law for the DFT cell and can differ from measured ones.

Largest 12 diffraction maxima, in order of rising 2θ, 2θ = 10–80°:
two_theta	I (rel.)
13.39	35
26.91	99
27.09	97
31.13	92
31.24	91
31.45	89
44.66	100
44.92	66
45.08	32
53.04	32
55.46	35
55.87	34

Structure:
Lattice parameters (Å, degrees): 8.071 8.071 8.045 119.56 119.56 90.37
Fractional coordinates of all 15 atoms:
Ce (0.000, 0.000, 0.000)
Ce (0.000, 0.500, 0.000)
Ce (0.500, 0.000, 0.000)
Ce (0.500, 0.500, 0.500)
Dy (0.000, 0.000, 0.500)
Dy (0.000, 0.500, 0.500)
Dy (0.500, 0.000, 0.500)
P (0.246, 0.754, 0.000)
P (0.247, 0.247, 0.000)
P (0.247, 0.247, 0.490)
P (0.249, 0.751, 0.500)
P (0.751, 0.249, 0.500)
P (0.753, 0.753, 0.000)
P (0.753, 0.753, 0.510)
P (0.754, 0.246, 0.000)

***

No. 7
# K2MgIBr3
Theoretical powder X-ray diffraction pattern, a wavelength of 1.5418 Å. Input: DFT lattice parameters and positions (PBE).
Peak positions follow from Bragg's law for the DFT cell and can differ from measured ones.

Largest 12 diffraction maxima, in order of rising 2θ, 2θ = 10–80°:
two_theta	I (rel.)
10.74	48
17.23	17
24.92	100
30.73	45
31.31	95
32.61	40
33.07	37
45.42	25
45.77	29
47.13	28
55.01	18
57.32	25

Structure:
Lattice parameters (Å, degrees): 9.148 9.148 9.148 145.55 142.91 51.51
Fractional coordinates of all 7 atoms:
K (0.143, 0.143, 0.000)
K (0.857, 0.857, 0.000)
Mg (0.500, 0.500, 0.000)
I (0.000, 0.500, 0.500)
Br (0.339, 0.339, 0.000)
Br (0.500, 0.000, 0.500)
Br (0.661, 0.661, 0.000)

***

No. 8
# Rb3AuF
Theoretical powder X-ray diffraction pattern, a wavelength of 1.5418 Å. Input: DFT lattice parameters and positions (PBE).
Peak positions follow from Bragg's law for the DFT cell and can differ from measured ones.

Largest 12 diffraction maxima, in order of rising 2θ, 2θ = 10–80°:
two_theta	I (rel.)
11.34	50
15.60	25
19.32	49
26.19	68
26.66	100
26.98	49
27.73	32
30.51	37
30.65	25
34.52	26
34.87	24
37.35	49

Structure:
Lattice parameters (Å, degrees): 4.812 9.656 9.657 72.09 89.15 89.13
Fractional coordinates of all 10 atoms:
Rb (0.210, 0.065, 0.186)
Rb (0.211, 0.686, 0.565)
Rb (0.219, 0.603, 0.104)
Rb (0.781, 0.397, 0.896)
Rb (0.789, 0.314, 0.435)
Rb (0.790, 0.935, 0.814)
Au (0.280, 0.235, 0.736)
Au (0.720, 0.765, 0.264)
F (0.001, 0.667, 0.833)
F (0.999, 0.333, 0.167)